Simulated X-ray diffraction stick pattern
Compound: Li3Sn4Pd4
Radiation: Cu Kα (λ = 1.5418 Å)
Structure: a DFT-relaxed cell (PBE, Alexandria)
Neutral-atom scattering factors, no anomalous dispersion.

Structure:
abc: 9.0624 9.0624 9.0624
angles: 159.74 125.11 59.12
Element x y z (fractional)
Li 0.0000 0.0000 0.0000
Li 0.4014 0.9014 0.5000
Li 0.5986 0.0986 0.5000
Sn 0.0542 0.3409 0.7133
Sn 0.3724 0.6591 0.7133
Sn 0.6276 0.3409 0.2867
Sn 0.9458 0.6591 0.2867
Pd 0.2463 0.2463 0.0000
Pd 0.3024 0.5000 0.8024
Pd 0.6976 0.5000 0.1976
Pd 0.7537 0.7537 0.0000

Most intense lines, 2θ from 5° to 70°, low angle first:
2θ (°), d [Å], Rel. int.
11.2, 7.883, 61
21.3, 4.177, 55
28.6, 3.124, 83
35.9, 2.502, 78
36.5, 2.461, 47
37.9, 2.376, 51
40.6, 2.224, 100
44.7, 2.027, 63
57.9, 1.593, 48
67.6, 1.385, 37